Starting from a crystal structure in Alexandria, relaxed with PBE, the XRD peak list of ErTiIr was calculated for Cu Kα, 1.54184 Å.

Atomic structure:
```
data_ErTiIr
_chemical_formula_sum 'Er2 Ti2 Ir2'
_space_group_name_H-M_alt 'P 4/n m m'
_space_group_IT_number 129
_cell_length_a 4.342
_cell_length_b 4.342
_cell_length_c 6.591
_cell_angle_alpha 90.00
_cell_angle_beta 90.00
_cell_angle_gamma 90.00
loop_
_space_group_symop_operation_xyz
'x,y,z'
'-x,-y,-z'
'-y+1/2,x,z'
'y+1/2,-x,-z'
'-x+1/2,-y+1/2,z'
'x+1/2,y+1/2,-z'
'y,-x+1/2,z'
'-y,x+1/2,-z'
'x+1/2,-y,-z'
'-x+1/2,y,z'
'-y,-x,-z'
'y,x,z'
'-x,y+1/2,-z'
'x,-y+1/2,z'
'y+1/2,x+1/2,-z'
'-y+1/2,-x+1/2,z'
loop_
_atom_site_label
_atom_site_fract_x
_atom_site_fract_y
_atom_site_fract_z
Er1 0.250 0.250 0.143
Ti1 0.250 0.750 0.500
Ir1 0.250 0.250 0.706
```

Largest 10 diffraction maxima, low angle first, 2θ = 5–70°:
2θ = 29.1°, intensity 100, (1 1 0); 2θ = 32.2°, intensity 17, (1 1 1); 2θ = 34.2°, intensity 95, (1 0 2); 2θ = 40.1°, intensity 54, (1 1 2); 2θ = 41.6°, intensity 66, (2 0 0); 2θ = 46.3°, intensity 24, (1 0 3); 2θ = 54.9°, intensity 50, (2 1 2); 2θ = 60.3°, intensity 22, (2 2 0); 2θ = 64.0°, intensity 19, (2 1 3); 2θ = 68.3°, intensity 19, (3 1 0)